Entry 1:
Calculated powder diffractogram of K2PaWN4 for Cu Kα (λ = 1.5418 Å), from DFT lattice parameters and positions (GGA-PBE).
Peak positions follow from Bragg's law for the DFT cell and can differ from measured ones.

Largest 6 diffraction maxima, in order of rising 2θ, 15 to 90 degrees two-theta:
| two_theta | intensity |
| --- | --- |
| 17.83 | 82 |
| 29.08 | 100 |
| 29.76 | 41 |
| 34.91 | 24 |
| 51.13 | 23 |
| 52.40 | 38 |

Structure:
Unit cell a=6.147 b=6.147 c=6.147 alpha=121.53 beta=121.53 gamma=87.37
Sites, in units of the cell vectors:
K (0.000, 0.000, 0.000)
K (0.750, 0.250, 0.500)
Pa (0.250, 0.750, 0.500)
W (0.500, 0.500, 0.000)
N (0.248, 0.605, 0.090)
N (0.395, 0.484, 0.642)
N (0.516, 0.158, 0.910)
N (0.842, 0.752, 0.358)


Entry 2:
Calculated powder diffractogram of K2PbWN4 for Cu Kα (λ = 1.5418 Å), from DFT lattice parameters and positions (GGA-PBE).
Peak positions follow from Bragg's law for the DFT cell and can differ from measured ones.

Largest 6 diffraction maxima, in order of rising 2θ, 15 to 90 degrees two-theta:
| two_theta | intensity |
| --- | --- |
| 18.17 | 78 |
| 29.70 | 100 |
| 30.23 | 40 |
| 35.50 | 23 |
| 52.36 | 22 |
| 53.37 | 38 |

Structure:
Unit cell a=6.020 b=6.020 c=6.020 alpha=121.18 beta=121.18 gamma=87.96
Sites, in units of the cell vectors:
K (0.000, 0.000, 0.000)
K (0.750, 0.250, 0.500)
Pb (0.250, 0.750, 0.500)
W (0.500, 0.500, 0.000)
N (0.240, 0.613, 0.083)
N (0.387, 0.470, 0.627)
N (0.530, 0.157, 0.917)
N (0.843, 0.760, 0.373)


Entry 3:
Calculated powder diffractogram of KRbPt2N4 for Cu Kα (λ = 1.5418 Å), from DFT lattice parameters and positions (GGA-PBE).
Peak positions follow from Bragg's law for the DFT cell and can differ from measured ones.

Largest 6 diffraction maxima, in order of rising 2θ, 15 to 90 degrees two-theta:
| two_theta | intensity |
| --- | --- |
| 20.09 | 100 |
| 29.16 | 58 |
| 30.06 | 25 |
| 36.43 | 27 |
| 37.86 | 21 |
| 42.38 | 51 |

Structure:
Unit cell a=5.945 b=6.458 c=6.458 alpha=43.18 beta=90.00 gamma=90.00
Sites, in units of the cell vectors:
K (0.000, 0.000, 0.000)
Rb (0.500, 0.391, 0.391)
Pt (0.000, 0.703, 0.703)
Pt (0.500, 0.689, 0.689)
N (0.243, 0.590, 0.590)
N (0.255, 0.803, 0.803)
N (0.745, 0.803, 0.803)
N (0.757, 0.590, 0.590)


Entry 4:
Calculated powder diffractogram of K2TbWN4 for Cu Kα (λ = 1.5418 Å), from DFT lattice parameters and positions (GGA-PBE).
Peak positions follow from Bragg's law for the DFT cell and can differ from measured ones.

Largest 6 diffraction maxima, in order of rising 2θ, 15 to 90 degrees two-theta:
| two_theta | intensity |
| --- | --- |
| 17.87 | 72 |
| 29.12 | 100 |
| 29.93 | 39 |
| 35.07 | 19 |
| 51.12 | 23 |
| 52.63 | 37 |

Structure:
Unit cell a=6.142 b=6.142 c=6.142 alpha=121.83 beta=121.83 gamma=86.85
Sites, in units of the cell vectors:
K (0.000, 0.000, 0.000)
K (0.750, 0.250, 0.500)
Tb (0.250, 0.750, 0.500)
W (0.500, 0.500, 0.000)
N (0.239, 0.601, 0.075)
N (0.399, 0.474, 0.638)
N (0.526, 0.164, 0.925)
N (0.836, 0.761, 0.362)


Entry 5:
Calculated powder diffractogram of KW3N5 for Cu Kα (λ = 1.5418 Å), from DFT lattice parameters and positions (GGA-PBE).
Peak positions follow from Bragg's law for the DFT cell and can differ from measured ones.

Largest 6 diffraction maxima, in order of rising 2θ, 15 to 90 degrees two-theta:
| two_theta | intensity |
| --- | --- |
| 24.49 | 74 |
| 28.97 | 53 |
| 40.06 | 74 |
| 42.77 | 100 |
| 50.19 | 91 |
| 74.64 | 45 |

Structure:
Unit cell a=5.197 b=5.197 c=6.165 alpha=90.00 beta=90.00 gamma=120.00
Sites, in units of the cell vectors:
K (0.000, 0.000, 0.000)
W (0.000, 0.500, 0.500)
W (0.500, 0.000, 0.500)
W (0.500, 0.500, 0.500)
N (0.000, 0.000, 0.500)
N (0.333, 0.667, 0.275)
N (0.333, 0.667, 0.725)
N (0.667, 0.333, 0.275)
N (0.667, 0.333, 0.725)


Entry 6:
Calculated powder diffractogram of KW2N2 for Cu Kα (λ = 1.5418 Å), from DFT lattice parameters and positions (GGA-PBE).
Peak positions follow from Bragg's law for the DFT cell and can differ from measured ones.

Largest 6 diffraction maxima, in order of rising 2θ, 15 to 90 degrees two-theta:
| two_theta | intensity |
| --- | --- |
| 31.13 | 41 |
| 33.52 | 100 |
| 34.74 | 29 |
| 42.46 | 29 |
| 50.08 | 51 |
| 59.11 | 34 |

Structure:
Unit cell a=3.125 b=3.125 c=17.236 alpha=90.00 beta=90.00 gamma=120.00
Sites, in units of the cell vectors:
K (0.000, 0.000, 0.000)
K (0.000, 0.000, 0.500)
W (0.333, 0.667, 0.176)
W (0.333, 0.667, 0.324)
W (0.667, 0.333, 0.676)
W (0.667, 0.333, 0.824)
N (0.333, 0.667, 0.622)
N (0.333, 0.667, 0.878)
N (0.667, 0.333, 0.122)
N (0.667, 0.333, 0.378)


Entry 7:
Calculated powder diffractogram of KNa6NbO6 for Cu Kα (λ = 1.5418 Å), from DFT lattice parameters and positions (GGA-PBE).
Peak positions follow from Bragg's law for the DFT cell and can differ from measured ones.

Largest 6 diffraction maxima, in order of rising 2θ, 15 to 90 degrees two-theta:
| two_theta | intensity |
| --- | --- |
| 15.86 | 76 |
| 19.14 | 40 |
| 25.45 | 54 |
| 33.47 | 100 |
| 37.59 | 94 |
| 48.90 | 73 |

Structure:
Unit cell a=5.949 b=5.949 c=5.949 alpha=102.42 beta=102.42 gamma=102.42
Sites, in units of the cell vectors:
K (0.000, 0.000, 0.000)
Na (0.160, 0.500, 0.840)
Na (0.160, 0.840, 0.500)
Na (0.500, 0.160, 0.840)
Na (0.500, 0.840, 0.160)
Na (0.840, 0.160, 0.500)
Na (0.840, 0.500, 0.160)
Nb (0.500, 0.500, 0.500)
O (0.242, 0.242, 0.555)
O (0.242, 0.555, 0.242)
O (0.445, 0.758, 0.758)
O (0.555, 0.242, 0.242)
O (0.758, 0.445, 0.758)
O (0.758, 0.758, 0.445)


Entry 8:
Calculated powder diffractogram of K2Na2Sm4Nb2O13 for Cu Kα (λ = 1.5418 Å), from DFT lattice parameters and positions (GGA-PBE).
Peak positions follow from Bragg's law for the DFT cell and can differ from measured ones.

Largest 6 diffraction maxima, in order of rising 2θ, 15 to 90 degrees two-theta:
| two_theta | intensity |
| --- | --- |
| 25.41 | 44 |
| 25.73 | 40 |
| 30.34 | 100 |
| 30.78 | 93 |
| 31.92 | 36 |
| 45.55 | 43 |

Structure:
Unit cell a=12.380 b=12.380 c=11.217 alpha=115.83 beta=115.83 gamma=26.42
Sites, in units of the cell vectors:
K (0.196, 0.303, 0.134)
K (0.303, 0.196, 0.634)
K (0.697, 0.804, 0.366)
K (0.804, 0.697, 0.866)
Na (0.301, 0.381, 0.478)
Na (0.381, 0.301, 0.978)
Na (0.619, 0.699, 0.022)
Na (0.699, 0.619, 0.522)
Sm (0.016, 0.110, 0.950)
Sm (0.110, 0.016, 0.450)
Sm (0.399, 0.475, 0.326)
Sm (0.475, 0.399, 0.826)
Sm (0.525, 0.601, 0.174)
Sm (0.601, 0.525, 0.674)
Sm (0.890, 0.984, 0.550)
Sm (0.984, 0.890, 0.050)
Nb (0.117, 0.186, 0.284)
Nb (0.186, 0.117, 0.784)
Nb (0.814, 0.883, 0.216)
Nb (0.883, 0.814, 0.716)
O (0.062, 0.675, 0.362)
O (0.093, 0.635, 0.121)
O (0.132, 0.668, 0.659)
O (0.143, 0.592, 0.860)
O (0.171, 0.304, 0.379)
O (0.251, 0.747, 0.524)
O (0.253, 0.749, 0.976)
O (0.257, 0.743, 0.250)
O (0.304, 0.171, 0.879)
O (0.325, 0.938, 0.138)
O (0.332, 0.868, 0.841)
O (0.365, 0.907, 0.379)
O (0.408, 0.857, 0.640)
O (0.592, 0.143, 0.360)
O (0.635, 0.093, 0.621)
O (0.668, 0.132, 0.159)
O (0.675, 0.062, 0.862)
O (0.696, 0.829, 0.121)
O (0.743, 0.257, 0.750)
O (0.747, 0.251, 0.024)
O (0.749, 0.253, 0.476)
O (0.829, 0.696, 0.621)
O (0.857, 0.408, 0.140)
O (0.868, 0.332, 0.341)
O (0.907, 0.365, 0.879)
O (0.938, 0.325, 0.638)


Entry 9:
Calculated powder diffractogram of KNaNp for Cu Kα (λ = 1.5418 Å), from DFT lattice parameters and positions (GGA-PBE).
Peak positions follow from Bragg's law for the DFT cell and can differ from measured ones.

Largest 6 diffraction maxima, in order of rising 2θ, 15 to 90 degrees two-theta:
| two_theta | intensity |
| --- | --- |
| 18.33 | 88 |
| 21.20 | 82 |
| 30.16 | 100 |
| 35.52 | 55 |
| 48.57 | 38 |
| 53.56 | 40 |

Structure:
Unit cell a=5.927 b=5.927 c=5.927 alpha=60.00 beta=60.00 gamma=60.00
Sites, in units of the cell vectors:
K (0.000, 0.000, 0.000)
Na (0.250, 0.250, 0.250)
Np (0.500, 0.500, 0.500)


Entry 10:
Calculated powder diffractogram of K3NaOs2O9 for Cu Kα (λ = 1.5418 Å), from DFT lattice parameters and positions (GGA-PBE).
Peak positions follow from Bragg's law for the DFT cell and can differ from measured ones.

Largest 6 diffraction maxima, in order of rising 2θ, 15 to 90 degrees two-theta:
| two_theta | intensity |
| --- | --- |
| 17.22 | 28 |
| 18.32 | 100 |
| 30.07 | 57 |
| 30.51 | 26 |
| 36.01 | 25 |
| 39.48 | 23 |

Structure:
Unit cell a=5.944 b=5.944 c=14.254 alpha=90.00 beta=90.00 gamma=120.00
Sites, in units of the cell vectors:
K (0.000, 0.000, 0.250)
K (0.000, 0.000, 0.750)
K (0.333, 0.667, 0.107)
K (0.333, 0.667, 0.393)
K (0.667, 0.333, 0.607)
K (0.667, 0.333, 0.893)
Na (0.000, 0.000, 0.000)
Na (0.000, 0.000, 0.500)
Os (0.333, 0.667, 0.649)
Os (0.333, 0.667, 0.851)
Os (0.667, 0.333, 0.149)
Os (0.667, 0.333, 0.351)
O (0.056, 0.528, 0.750)
O (0.179, 0.359, 0.589)
O (0.179, 0.359, 0.911)
O (0.179, 0.821, 0.589)
O (0.179, 0.821, 0.911)
O (0.359, 0.179, 0.089)
O (0.359, 0.179, 0.411)
O (0.472, 0.528, 0.750)
O (0.472, 0.944, 0.750)
O (0.528, 0.056, 0.250)
O (0.528, 0.472, 0.250)
O (0.641, 0.821, 0.589)
O (0.641, 0.821, 0.911)
O (0.821, 0.179, 0.089)
O (0.821, 0.179, 0.411)
O (0.821, 0.641, 0.089)
O (0.821, 0.641, 0.411)
O (0.944, 0.472, 0.250)


Entry 11:
Calculated powder diffractogram of KNaSmOsO5 for Cu Kα (λ = 1.5418 Å), from DFT lattice parameters and positions (GGA-PBE).
Peak positions follow from Bragg's law for the DFT cell and can differ from measured ones.

Largest 6 diffraction maxima, in order of rising 2θ, 15 to 90 degrees two-theta:
| two_theta | intensity |
| --- | --- |
| 19.11 | 67 |
| 31.39 | 43 |
| 31.49 | 100 |
| 37.01 | 23 |
| 44.99 | 29 |
| 55.94 | 39 |

Structure:
Unit cell a=5.700 b=5.700 c=8.010 alpha=90.00 beta=90.00 gamma=90.00
Sites, in units of the cell vectors:
K (0.250, 0.750, 0.000)
K (0.750, 0.250, 0.000)
Na (0.250, 0.250, 0.232)
Na (0.750, 0.750, 0.768)
Sm (0.250, 0.750, 0.500)
Sm (0.750, 0.250, 0.500)
Os (0.250, 0.250, 0.727)
Os (0.750, 0.750, 0.273)
O (0.012, 0.012, 0.675)
O (0.012, 0.488, 0.675)
O (0.250, 0.250, 0.960)
O (0.488, 0.012, 0.675)
O (0.488, 0.488, 0.675)
O (0.512, 0.512, 0.325)
O (0.512, 0.988, 0.325)
O (0.750, 0.750, 0.040)
O (0.988, 0.512, 0.325)
O (0.988, 0.988, 0.325)


Entry 12:
Calculated powder diffractogram of KNaPrO3 for Cu Kα (λ = 1.5418 Å), from DFT lattice parameters and positions (GGA-PBE).
Peak positions follow from Bragg's law for the DFT cell and can differ from measured ones.

Largest 6 diffraction maxima, in order of rising 2θ, 15 to 90 degrees two-theta:
| two_theta | intensity |
| --- | --- |
| 17.07 | 100 |
| 21.05 | 47 |
| 28.91 | 61 |
| 31.15 | 58 |
| 33.03 | 78 |
| 37.58 | 40 |

Structure:
Unit cell a=6.755 b=6.755 c=6.092 alpha=96.66 beta=96.66 gamma=127.66
Sites, in units of the cell vectors:
K (0.248, 0.752, 0.750)
K (0.752, 0.248, 0.250)
Na (0.060, 0.940, 0.250)
Na (0.940, 0.060, 0.750)
Pr (0.428, 0.572, 0.250)
Pr (0.572, 0.428, 0.750)
O (0.217, 0.315, 0.504)
O (0.244, 0.756, 0.250)
O (0.315, 0.217, 0.004)
O (0.685, 0.783, 0.996)
O (0.756, 0.244, 0.750)
O (0.783, 0.685, 0.496)